1.
For CeYNi10, a cell relaxed with GGA-PBE gives the simulated powder diffraction line list in this record (λ = 1.5418 Å (Cu Kα)).

Most intense lines, 10 to 80 degrees two-theta, in order of falling intensity:
| (hkl) | Position (°2θ) | I (rel.) |
| --- | --- | --- |
| 1 2 0 | 43.5 | 100 |
| 1 1 1 | 30.9 | 36 |
| 0 0 4 | 42.8 | 33 |
| 2 0 0 | 45.6 | 29 |
| 0 2 0 | 36.8 | 27 |
| 2 0 4 | 64.3 | 19 |
| 1 2 2 | 48.8 | 15 |
| 1 3 3 | 70.9 | 14 |
| 2 2 0 | 60.0 | 13 |
| 0 2 6 | 78.4 | 11 |

Crystal structure
```
data_CeYNi10
_symmetry_space_group_name_H-M 'P m m m'
_symmetry_Int_Tables_number 47
_symmetry_space_group_name_Hall '-P 2 2'
_cell_length_a 3.979
_cell_length_b 4.890
_cell_length_c 8.448
_cell_angle_alpha 90.00
_cell_angle_beta 90.00
_cell_angle_gamma 90.00
loop_
_atom_site_label
_atom_site_type_symbol
_atom_site_fract_x
_atom_site_fract_y
_atom_site_fract_z
_atom_site_occupancy
Ce1 Ce 0.000 0.000 0.000 1
Y1 Y 0.000 0.500 0.500 1
Ni1 Ni 0.000 0.000 0.329 1
Ni2 Ni 0.000 0.500 0.164 1
Ni3 Ni 0.500 0.000 0.500 1
Ni4 Ni 0.500 0.251 0.251 1
Ni5 Ni 0.500 0.500 0.000 1
```

2.
For Nd2B3C4, a cell relaxed with GGA-PBE gives the simulated powder diffraction line list in this record (λ = 1.5418 Å (Cu Kα)).

Most intense lines, 10 to 80 degrees two-theta, in order of falling intensity:
| (hkl) | Position (°2θ) | I (rel.) |
| --- | --- | --- |
| 1 1 1 | 23.5 | 100 |
| 0 2 3 | 38.0 | 63 |
| 1 3 1 | 31.7 | 60 |
| 1 1 2 | 31.0 | 43 |
| 0 2 1 | 18.8 | 38 |
| 1 3 2 | 37.7 | 37 |
| 2 2 3 | 55.4 | 32 |
| 0 4 0 | 29.9 | 31 |
| 1 5 1 | 44.1 | 22 |
| 2 0 0 | 38.7 | 19 |

Crystal structure
```
data_Nd2B3C4
_symmetry_space_group_name_H-M 'C m c e'
_symmetry_Int_Tables_number 64
_symmetry_space_group_name_Hall '-C 2ac 2'
_cell_length_a 4.654
_cell_length_b 11.966
_cell_length_c 7.726
_cell_angle_alpha 90.00
_cell_angle_beta 90.00
_cell_angle_gamma 90.00
loop_
_atom_site_label
_atom_site_type_symbol
_atom_site_fract_x
_atom_site_fract_y
_atom_site_fract_z
_atom_site_occupancy
Nd1 Nd 0.000 0.126 0.081 1
B1 B 0.000 0.000 0.500 1
B2 B 0.250 0.184 0.750 1
C1 C 0.000 0.248 0.332 1
C2 C 0.250 0.047 0.750 1
```

3.
For Er5Sb2H, a cell relaxed with GGA-PBE gives the simulated powder diffraction line list in this record (λ = 1.5418 Å (Cu Kα)).

Most intense lines, 10 to 80 degrees two-theta, in order of falling intensity:
| (hkl) | Position (°2θ) | I (rel.) |
| --- | --- | --- |
| 2 2 2 | 33.3 | 100 |
| 4 0 0 | 37.1 | 38 |
| 4 0 4 | 57.0 | 22 |
| 2 6 2 | 64.5 | 15 |
| 6 2 2 | 64.6 | 15 |
| 0 0 4 | 41.6 | 14 |
| 1 1 1 | 16.5 | 13 |
| 4 4 0 | 53.5 | 13 |
| 4 4 4 | 70.0 | 12 |
| 2 2 6 | 70.7 | 11 |

Crystal structure
```
data_Er5Sb2H
_symmetry_space_group_name_H-M 'F m m 2'
_symmetry_Int_Tables_number 42
_symmetry_space_group_name_Hall 'F 2 -2'
_cell_length_a 9.675
_cell_length_b 9.691
_cell_length_c 8.677
_cell_angle_alpha 90.00
_cell_angle_beta 90.00
_cell_angle_gamma 90.00
loop_
_atom_site_label
_atom_site_type_symbol
_atom_site_fract_x
_atom_site_fract_y
_atom_site_fract_z
_atom_site_occupancy
Er1 Er 0.000 0.000 0.000 1
Er2 Er 0.000 0.250 0.246 1
Er3 Er 0.250 0.000 0.245 1
Sb1 Sb 0.250 0.250 0.495 1
H1 H 0.000 0.000 0.256 1
```

4.
For KMn2Se4, a cell relaxed with GGA-PBE gives the simulated powder diffraction line list in this record (λ = 1.5418 Å (Cu Kα)).

Most intense lines, 10 to 80 degrees two-theta, in order of falling intensity:
| (hkl) | Position (°2θ) | I (rel.) |
| --- | --- | --- |
| 1 3 1 | 32.1 | 100 |
| 2 0 0 | 47.5 | 73 |
| 0 2 4 | 30.8 | 64 |
| 1 3 0 | 31.3 | 38 |
| 1 1 3 | 32.0 | 37 |
| 1 3 2 | 34.3 | 37 |
| 0 0 2 | 13.6 | 28 |
| 0 2 1 | 15.4 | 25 |
| 1 3 5 | 47.3 | 25 |
| 0 4 2 | 31.0 | 21 |

Crystal structure
```
data_KMn2Se4
_symmetry_space_group_name_H-M 'C m c m'
_symmetry_Int_Tables_number 63
_symmetry_space_group_name_Hall '-C 2c 2'
_cell_length_a 3.833
_cell_length_b 12.864
_cell_length_c 12.988
_cell_angle_alpha 90.00
_cell_angle_beta 90.00
_cell_angle_gamma 90.00
loop_
_atom_site_label
_atom_site_type_symbol
_atom_site_fract_x
_atom_site_fract_y
_atom_site_fract_z
_atom_site_occupancy
K1 K 0.000 0.103 0.250 1
Mn1 Mn 0.000 0.364 0.065 1
Se1 Se 0.000 0.000 0.000 1
Se2 Se 0.000 0.258 0.599 1
Se3 Se 0.000 0.408 0.250 1
```

5.
For Na2LiTl7, a cell relaxed with GGA-PBE gives the simulated powder diffraction line list in this record (λ = 1.5418 Å (Cu Kα)).

Most intense lines, 10 to 80 degrees two-theta, in order of falling intensity:
| (hkl) | Position (°2θ) | I (rel.) |
| --- | --- | --- |
| 4 0 0 | 32.1 | 100 |
| 2 2 2 | 27.7 | 100 |
| 2 0 0 | 15.9 | 84 |
| 4 4 0 | 46.1 | 71 |
| 4 2 0 | 36.1 | 41 |
| 6 2 2 | 54.7 | 41 |
| 8 4 0 | 76.5 | 28 |
| 3 3 1 | 35.1 | 24 |
| 4 4 4 | 57.3 | 24 |
| 6 0 0 | 49.1 | 22 |

Crystal structure
```
data_Na2LiTl7
_symmetry_space_group_name_H-M 'F m -3 m'
_symmetry_Int_Tables_number 225
_symmetry_space_group_name_Hall '-F 4 2 3'
_cell_length_a 11.137
_cell_length_b 11.137
_cell_length_c 11.137
_cell_angle_alpha 90.00
_cell_angle_beta 90.00
_cell_angle_gamma 90.00
loop_
_atom_site_label
_atom_site_type_symbol
_atom_site_fract_x
_atom_site_fract_y
_atom_site_fract_z
_atom_site_occupancy
Na1 Na 0.250 0.250 0.250 1
Li1 Li 0.000 0.000 0.000 1
Tl1 Tl 0.000 0.000 0.234 1
Tl2 Tl 0.000 0.000 0.500 1
```

6.
For La2SmEr5Sc, a cell relaxed with GGA-PBE gives the simulated powder diffraction line list in this record (λ = 1.5418 Å (Cu Kα)).

Most intense lines, 10 to 80 degrees two-theta, in order of falling intensity:
| (hkl) | Position (°2θ) | I (rel.) |
| --- | --- | --- |
| 1 5 2 | 32.6 | 100 |
| 2 0 0 | 32.0 | 45 |
| 1 1 3 | 30.5 | 38 |
| 1 3 2 | 27.0 | 25 |
| 3 5 2 | 57.5 | 20 |
| 0 6 1 | 28.5 | 17 |
| 2 6 5 | 62.1 | 13 |
| 0 0 4 | 34.2 | 12 |
| 0 6 5 | 51.7 | 12 |
| 1 11 3 | 60.4 | 11 |

Crystal structure
```
data_La2SmEr5Sc
_symmetry_space_group_name_H-M 'C m c 21'
_symmetry_Int_Tables_number 36
_symmetry_space_group_name_Hall 'C 2c -2'
_cell_length_a 5.590
_cell_length_b 19.682
_cell_length_c 10.501
_cell_angle_alpha 90.00
_cell_angle_beta 90.00
_cell_angle_gamma 90.00
loop_
_atom_site_label
_atom_site_type_symbol
_atom_site_fract_x
_atom_site_fract_y
_atom_site_fract_z
_atom_site_occupancy
La1 La 0.000 0.114 0.000 1
La2 La 0.000 0.116 0.420 1
Sm1 Sm 0.000 0.412 0.148 1
Er1 Er 0.000 0.016 0.706 1
Er2 Er 0.000 0.277 0.007 1
Er3 Er 0.000 0.297 0.389 1
Er4 Er 0.000 0.376 0.705 1
Er5 Er 0.000 0.483 0.426 1
Sc1 Sc 0.000 0.199 0.700 1
```

7.
For Li2YSn3, a cell relaxed with GGA-PBE gives the simulated powder diffraction line list in this record (λ = 1.5418 Å (Cu Kα)).

Most intense lines, 10 to 80 degrees two-theta, in order of falling intensity:
| (hkl) | Position (°2θ) | I (rel.) |
| --- | --- | --- |
| 1 3 1 | 34.5 | 100 |
| 2 0 0 | 39.8 | 34 |
| 0 0 1 | 20.0 | 30 |
| 1 3 0 | 27.8 | 28 |
| 0 0 2 | 40.6 | 16 |
| 2 0 1 | 44.9 | 16 |
| 3 3 1 | 68.9 | 14 |
| 1 9 1 | 68.7 | 13 |
| 1 3 3 | 69.9 | 13 |
| 2 6 2 | 72.7 | 13 |

Crystal structure
```
data_Li2YSn3
_symmetry_space_group_name_H-M 'C m m m'
_symmetry_Int_Tables_number 65
_symmetry_space_group_name_Hall '-C 2 2'
_cell_length_a 4.529
_cell_length_b 13.614
_cell_length_c 4.447
_cell_angle_alpha 90.00
_cell_angle_beta 90.00
_cell_angle_gamma 90.00
loop_
_atom_site_label
_atom_site_type_symbol
_atom_site_fract_x
_atom_site_fract_y
_atom_site_fract_z
_atom_site_occupancy
Li1 Li 0.000 0.183 0.000 1
Y1 Y 0.000 0.500 0.000 1
Sn1 Sn 0.000 0.000 0.500 1
Sn2 Sn 0.000 0.329 0.500 1
```

8.
For Ce2As3Rh5, a cell relaxed with GGA-PBE gives the simulated powder diffraction line list in this record (λ = 1.5418 Å (Cu Kα)).

Most intense lines, 10 to 80 degrees two-theta, in order of falling intensity:
| (hkl) | Position (°2θ) | I (rel.) |
| --- | --- | --- |
| 1 3 2 | 35.6 | 100 |
| 1 7 1 | 35.7 | 76 |
| 2 0 0 | 43.2 | 56 |
| 0 6 2 | 34.1 | 45 |
| 1 9 0 | 39.2 | 45 |
| 1 3 3 | 46.7 | 33 |
| 0 10 1 | 38.7 | 32 |
| 3 3 2 | 74.2 | 20 |
| 1 13 3 | 68.0 | 19 |
| 1 7 2 | 42.7 | 19 |

Crystal structure
```
data_Ce2As3Rh5
_symmetry_space_group_name_H-M 'C m c 21'
_symmetry_Int_Tables_number 36
_symmetry_space_group_name_Hall 'C 2c -2'
_cell_length_a 4.193
_cell_length_b 24.744
_cell_length_c 6.833
_cell_angle_alpha 90.00
_cell_angle_beta 90.00
_cell_angle_gamma 90.00
loop_
_atom_site_label
_atom_site_type_symbol
_atom_site_fract_x
_atom_site_fract_y
_atom_site_fract_z
_atom_site_occupancy
Ce1 Ce 0.000 0.016 0.000 1
Ce2 Ce 0.000 0.325 0.975 1
As1 As 0.000 0.111 0.235 1
As2 As 0.000 0.276 0.420 1
As3 As 0.000 0.444 0.232 1
Rh1 Rh 0.000 0.098 0.604 1
Rh2 Rh 0.000 0.206 0.133 1
Rh3 Rh 0.000 0.220 0.723 1
Rh4 Rh 0.000 0.373 0.512 1
Rh5 Rh 0.000 0.446 0.845 1
```